Entry 1:
For CuH8C5N3Cl3, a PBE-relaxed structure gives the simulated X-ray diffraction stick pattern in this record (CuKα).

Cell and atoms:
```
CuH8C5N3Cl3
1.0
3.941 0.000 0.000
0.079 10.339 0.000
0.611 0.960 11.214
Cu H C N Cl
2 16 10 6 6
direct
0.169 0.371 0.093 Cu
0.831 0.629 0.907 Cu
0.070 0.888 0.548 H
0.082 0.436 0.614 H
0.145 0.664 0.477 H
0.274 0.811 0.674 H
0.283 0.374 0.484 H
0.377 0.863 0.116 H
0.431 0.343 0.769 H
0.488 0.062 0.187 H
0.512 0.938 0.813 H
0.569 0.657 0.231 H
0.623 0.137 0.884 H
0.717 0.626 0.516 H
0.726 0.189 0.326 H
0.855 0.336 0.523 H
0.918 0.564 0.386 H
0.930 0.112 0.452 H
0.100 0.352 0.560 C
0.214 0.235 0.634 C
0.258 0.011 0.661 C
0.385 0.248 0.739 C
0.489 0.137 0.802 C
0.511 0.863 0.198 C
0.615 0.752 0.261 C
0.742 0.989 0.339 C
0.786 0.765 0.366 C
0.900 0.648 0.440 C
0.153 0.118 0.596 N
0.197 0.894 0.626 N
0.425 0.021 0.763 N
0.575 0.979 0.237 N
0.803 0.106 0.374 N
0.847 0.882 0.404 N
0.139 0.158 0.074 Cl
0.158 0.595 0.072 Cl
0.490 0.373 0.253 Cl
0.510 0.627 0.747 Cl
0.842 0.405 0.928 Cl
0.861 0.842 0.926 Cl
```

Largest 8 diffraction maxima, in order of rising 2θ, 10° ≤ 2θ ≤ 90°:
11.16 deg, 7.931 Å, intensity 753; 12.15 deg, 7.283 Å, intensity 146; 17.35 deg, 5.111 Å, intensity 416; 24.20 deg, 3.678 Å, intensity 249; 26.09 deg, 3.415 Å, intensity 199; 28.40 deg, 3.142 Å, intensity 1000; 34.84 deg, 2.575 Å, intensity 199; 38.41 deg, 2.344 Å, intensity 232

Entry 2:
For Gd3Ni2, a PBE-relaxed structure gives the simulated X-ray diffraction stick pattern in this record (CuKα).

Cell and atoms:
```
Gd3Ni2
1.0
6.692 -1.848 0.000
6.692 1.848 0.000
-2.636 0.000 9.244
Gd Ni
6 4
direct
0.097 0.097 0.173 Gd
0.355 0.355 0.132 Gd
0.369 0.369 0.502 Gd
0.631 0.631 0.498 Gd
0.645 0.645 0.868 Gd
0.903 0.903 0.827 Gd
0.035 0.035 0.644 Ni
0.244 0.244 0.727 Ni
0.756 0.756 0.273 Ni
0.965 0.965 0.356 Ni
```

Largest 8 diffraction maxima, in order of rising 2θ, 10° ≤ 2θ ≤ 90°:
27.72 deg, 3.218 Å, intensity 371; 28.98 deg, 3.081 Å, intensity 433; 31.96 deg, 2.800 Å, intensity 408; 32.95 deg, 2.719 Å, intensity 911; 34.34 deg, 2.611 Å, intensity 1000; 35.11 deg, 2.556 Å, intensity 361; 41.66 deg, 2.168 Å, intensity 373; 49.32 deg, 1.848 Å, intensity 322